Entry 1:
Structure and calculated PXRD pattern of TaTc2HPd (a crystal structure in Alexandria, relaxed with GGA-PBE; CuKα).
Neutral-atom scattering factors, no anomalous dispersion.

Crystal structure
```
data_TaTc2HPd
_cell_length_a 4.007
_cell_length_b 4.007
_cell_length_c 3.960
_cell_angle_alpha 90.00
_cell_angle_beta 90.00
_cell_angle_gamma 90.00
_symmetry_space_group_name_H-M 'P 4/m m m'
_symmetry_Int_Tables_number 123
_symmetry_space_group_name_Hall '-P 4 2'
loop_
_atom_site_label
_atom_site_type_symbol
_atom_site_fract_x
_atom_site_fract_y
_atom_site_fract_z
Ta1 Ta 0.000 0.000 0.000
Tc1 Tc 0.000 0.500 0.500
H1 H 0.500 0.500 0.500
Pd1 Pd 0.500 0.500 0.000
```

The 12 most intense peaks (2θ = 10–80°), by angle:
d (Å), 2θ (°), I (rel.)
4.007, 22.18, 3.9
3.960, 22.45, 2.9
2.833, 31.58, 2.8
2.817, 31.77, 3.7
2.304, 39.09, 100.0
2.004, 45.26, 33.2
1.980, 45.83, 16.0
1.788, 51.09, 1.5
1.633, 56.35, 1.6
1.417, 65.93, 10.6
1.408, 66.38, 20.8
1.207, 79.40, 24.9

=====

Entry 2:
Structure and calculated PXRD pattern of B13P (a crystal structure in Alexandria, relaxed with GGA-PBE; CuKα).
Neutral-atom scattering factors, no anomalous dispersion.

Crystal structure
```
data_B13P
_cell_length_a 5.8567
_cell_length_b 5.8567
_cell_length_c 11.7418
_cell_angle_alpha 90.00
_cell_angle_beta 90.00
_cell_angle_gamma 120.00
_symmetry_space_group_name_H-M 'R 3 m'
_symmetry_Int_Tables_number 160
_symmetry_space_group_name_Hall 'R 3 -2"'
loop_
_atom_site_label
_atom_site_type_symbol
_atom_site_fract_x
_atom_site_fract_y
_atom_site_fract_z
B1 B 0.0000 0.0000 0.0480
B2 B 0.1032 0.2064 0.5222
B3 B 0.1674 0.3349 0.6667
B4 B 0.1740 0.3480 0.2763
B5 B 0.2083 0.1042 0.7538
P1 P 0.0000 0.0000 0.2170
```

The 12 most intense peaks (2θ = 10–80°), by angle:
d (Å), 2θ (°), I (rel.)
3.838, 23.17, 100.0
2.928, 30.53, 22.0
2.541, 35.33, 54.4
2.479, 36.24, 89.9
2.345, 38.39, 25.7
1.892, 48.09, 16.0
1.627, 56.56, 19.0
1.485, 62.55, 29.8
1.464, 63.54, 16.9
1.399, 66.88, 16.8
1.397, 67.00, 16.1
1.368, 68.60, 16.9

=====

Entry 3:
Structure and calculated PXRD pattern of Tl12As (a crystal structure in Alexandria, relaxed with GGA-PBE; CuKα).
Neutral-atom scattering factors, no anomalous dispersion.

Crystal structure
```
data_Tl12As
_cell_length_a 9.296
_cell_length_b 9.296
_cell_length_c 9.296
_cell_angle_alpha 90.00
_cell_angle_beta 90.00
_cell_angle_gamma 90.00
_symmetry_space_group_name_H-M 'I m -3'
_symmetry_Int_Tables_number 204
_symmetry_space_group_name_Hall '-I 2 2 3'
loop_
_atom_site_label
_atom_site_type_symbol
_atom_site_fract_x
_atom_site_fract_y
_atom_site_fract_z
Tl1 Tl 0.000 0.178 0.309
As1 As 0.000 0.000 0.000
```

The 12 most intense peaks (2θ = 10–80°), by angle:
d (Å), 2θ (°), I (rel.)
3.287, 27.13, 22.0
2.940, 30.41, 100.0
2.683, 33.39, 29.0
2.484, 36.16, 72.6
2.191, 41.20, 8.4
2.079, 43.54, 9.0
1.823, 50.03, 7.6
1.594, 57.84, 46.7
1.549, 59.68, 13.6
1.508, 61.49, 32.0
1.371, 68.45, 13.1
1.315, 71.81, 11.6

=====

Entry 4:
Structure and calculated PXRD pattern of Ba5Si2N6 (a crystal structure in Alexandria, relaxed with GGA-PBE; CuKα).
Neutral-atom scattering factors, no anomalous dispersion.

Crystal structure
```
data_Ba5Si2N6
_cell_length_a 10.555
_cell_length_b 7.032
_cell_length_c 14.189
_cell_angle_alpha 90.00
_cell_angle_beta 99.84
_cell_angle_gamma 90.00
_symmetry_space_group_name_H-M 'C 1 2/c 1'
_symmetry_Int_Tables_number 15
loop_
_symmetry_equiv_pos_as_xyz
'x,y,z'
'-x,-y,-z'
'-x,y,-z+1/2'
'x,-y,z+1/2'
'x+1/2,y+1/2,z'
'-x+1/2,-y+1/2,-z'
'-x+1/2,y+1/2,-z+1/2'
'x+1/2,-y+1/2,z+1/2'
loop_
_atom_site_label
_atom_site_type_symbol
_atom_site_fract_x
_atom_site_fract_y
_atom_site_fract_z
Ba1 Ba 0.000 0.103 0.250
Ba2 Ba 0.055 0.233 0.992
Ba3 Ba 0.156 0.439 0.711
Si1 Si 0.226 0.356 0.427
N1 N 0.072 0.437 0.377
N2 N 0.155 0.075 0.642
N3 N 0.220 0.096 0.447
```

The 12 most intense peaks (2θ = 10–80°), by angle:
d (Å), 2θ (°), I (rel.)
3.822, 23.27, 23.9
3.495, 25.49, 51.9
3.410, 26.13, 28.3
3.139, 28.43, 100.0
3.109, 28.71, 37.9
3.018, 29.60, 30.1
2.941, 30.39, 55.3
2.805, 31.90, 34.8
2.791, 32.06, 54.9
2.694, 33.25, 55.7
2.351, 38.29, 17.3
1.948, 46.62, 45.3

=====

Entry 5:
Structure and calculated PXRD pattern of Np2Ga3Os (a crystal structure in Alexandria, relaxed with GGA-PBE; CuKα).
Neutral-atom scattering factors, no anomalous dispersion.

Crystal structure
```
data_Np2Ga3Os
_cell_length_a 5.4951
_cell_length_b 5.4951
_cell_length_c 12.5683
_cell_angle_alpha 90.00
_cell_angle_beta 90.00
_cell_angle_gamma 120.00
_symmetry_space_group_name_H-M 'R -3 m'
_symmetry_Int_Tables_number 166
_symmetry_space_group_name_Hall '-R 3 2"'
loop_
_atom_site_label
_atom_site_type_symbol
_atom_site_fract_x
_atom_site_fract_y
_atom_site_fract_z
Np1 Np 0.0000 0.0000 0.1129
Ga1 Ga 0.0000 0.5000 0.0000
Os1 Os 0.0000 0.0000 0.5000
```

The 12 most intense peaks (2θ = 10–80°), by angle:
d (Å), 2θ (°), I (rel.)
3.794, 23.45, 19.5
2.748, 32.59, 85.3
2.622, 34.20, 24.6
2.338, 38.51, 24.6
2.298, 39.21, 80.3
2.224, 40.57, 100.0
1.728, 52.98, 15.2
1.586, 58.15, 17.1
1.484, 62.62, 20.7
1.463, 63.61, 36.6
1.374, 68.27, 23.6
1.311, 72.03, 16.5

=====

Entry 6:
Structure and calculated PXRD pattern of Zn2CuPd9 (a crystal structure in Alexandria, relaxed with GGA-PBE; CuKα).
Neutral-atom scattering factors, no anomalous dispersion.

Crystal structure
```
data_Zn2CuPd9
_cell_length_a 3.907
_cell_length_b 3.907
_cell_length_c 11.758
_cell_angle_alpha 90.00
_cell_angle_beta 90.00
_cell_angle_gamma 90.00
_symmetry_space_group_name_H-M 'P 4/m m m'
_symmetry_Int_Tables_number 123
_symmetry_space_group_name_Hall '-P 4 2'
loop_
_atom_site_label
_atom_site_type_symbol
_atom_site_fract_x
_atom_site_fract_y
_atom_site_fract_z
Zn1 Zn 0.000 0.000 0.166
Cu1 Cu 0.000 0.000 0.500
Pd1 Pd 0.000 0.500 0.000
Pd2 Pd 0.000 0.500 0.335
Pd3 Pd 0.500 0.500 0.168
Pd4 Pd 0.500 0.500 0.500
```

The 10 most intense peaks (2θ = 10–80°), by angle:
d (Å), 2θ (°), I (rel.)
3.911, 22.73, 3.1
2.766, 32.37, 2.4
2.258, 39.92, 100.0
1.960, 46.33, 16.2
1.954, 46.48, 32.1
1.748, 52.34, 0.8
1.597, 57.73, 1.0
1.384, 67.72, 20.0
1.381, 67.84, 10.0
1.304, 72.50, 0.5